Starting from a cell relaxed with GGA-PBE, the X-ray diffraction stick pattern of LaSi2NiOs was computed for Cu Kα.
Lines closer than 0.1° are merged.

Atomic structure:
Cell lengths 5.9481, 5.9481, 5.9481 Å; angles 139.97, 139.97, 57.89 degrees
Fractional coordinates of all 5 atoms:
La 0.0000 0.0000 0.0000
Si 0.3690 0.3690 0.0000
Si 0.6310 0.6310 0.0000
Ni 0.7500 0.2500 0.5000
Os 0.2500 0.7500 0.5000

The 6 most intense peaks (5 to 70 degrees two-theta), sorted by position:
| 2θ (°) | d_spacing | Rel. int. |
| --- | --- | --- |
| 23.46 | 3.792 | 46 |
| 33.95 | 2.641 | 37 |
| 34.46 | 2.602 | 20 |
| 35.64 | 2.519 | 100 |
| 44.51 | 2.036 | 36 |
| 62.50 | 1.486 | 21 |